[1]
The following is a computed X-ray diffraction stick pattern of BeReNi2Pb. It was derived from a DFT-relaxed cell (GGA-PBE, Alexandria), using Cu Kα.

Top 10 peaks for 2θ = 10–80°, sorted by position:
2θ/deg	d (Å)	intensity	index
19.52	4.547	100.0	1 0 0
27.75	3.215	20.5	1 1 0
33.95	2.640	24.6	0 0 2
39.47	2.283	34.8	1 0 2
39.65	2.273	32.2	2 0 0
44.40	2.040	12.1	1 1 2
44.56	2.033	24.8	2 1 0
53.16	1.723	27.4	2 0 2
57.18	1.611	24.1	2 1 2
68.31	1.373	12.9	2 2 2

Structural model:
```
data_BeReNi2Pb
_chemical_formula_sum 'Be1 Re1 Ni2 Pb1'
_symmetry_space_group_name_H-M 'P 4/m m m'
_symmetry_Int_Tables_number 123
_symmetry_space_group_name_Hall '-P 4 2'
_cell_length_a 4.547
_cell_length_b 4.547
_cell_length_c 5.281
_cell_angle_alpha 90.00
_cell_angle_beta 90.00
_cell_angle_gamma 90.00
loop_
_atom_site_label
_atom_site_fract_x
_atom_site_fract_y
_atom_site_fract_z
Be1 0.000 0.000 0.000
Re1 0.500 0.500 0.500
Ni1 0.000 0.500 0.500
Pb1 0.500 0.500 0.000
```

---

[2]
The following is a computed X-ray diffraction stick pattern of Pr3Dy5Sc2. It was derived from a DFT-relaxed cell (GGA-PBE, Alexandria), using Cu Kα.

Top 10 peaks for 2θ = 10–80°, sorted by position:
2θ/deg	d (Å)	intensity	index
19.84	4.474	4.4	1 -2 0
30.96	2.889	100.0	2 0 1
35.87	2.503	33.6	-1 1 3
35.95	2.498	16.6	3 -3 1
51.63	1.770	17.9	2 -2 4
51.72	1.768	17.6	-4 4 2
61.37	1.511	13.8	1 1 4
61.49	1.508	17.4	5 -3 2
61.55	1.507	10.2	4 -6 1
64.49	1.445	8.9	2 -6 0

Structural model:
```
data_Pr3Dy5Sc2
_chemical_formula_sum 'Pr6 Dy10 Sc4'
_symmetry_space_group_name_H-M 'P -1'
_symmetry_Int_Tables_number 2
_symmetry_space_group_name_Hall '-P 1'
_cell_length_a 9.345
_cell_length_b 9.353
_cell_length_c 9.369
_cell_angle_alpha 106.55
_cell_angle_beta 106.58
_cell_angle_gamma 115.33
loop_
_atom_site_label
_atom_site_fract_x
_atom_site_fract_y
_atom_site_fract_z
Pr1 0.082 0.031 0.351
Pr2 0.273 0.424 0.952
Pr3 0.322 0.771 0.849
Dy1 0.024 0.675 0.448
Dy2 0.132 0.383 0.251
Dy3 0.227 0.075 0.054
Dy4 0.381 0.128 0.748
Dy5 0.472 0.822 0.547
Sc1 0.173 0.723 0.150
Sc2 0.429 0.477 0.644
```

---

[3]
The following is a computed X-ray diffraction stick pattern of In8Hg4Pb. It was derived from a DFT-relaxed cell (GGA-PBE, Alexandria), using Cu Kα.

Top 10 peaks for 2θ = 10–80°, sorted by position:
2θ/deg	d (Å)	intensity	index
31.48	2.842	100.0	0 1 3
32.51	2.754	87.3	1 2 -1
32.62	2.745	86.4	2 1 2
33.20	2.699	88.7	1 -1 3
35.33	2.540	71.2	2 0 -1
36.99	2.431	65.0	1 -2 0
44.96	2.016	35.9	1 1 -4
46.80	1.941	29.4	1 3 2
53.30	1.719	22.4	3 -1 2
58.76	1.571	28.7	0 3 -4

Structural model:
```
data_In8Hg4Pb
_chemical_formula_sum 'In8 Hg4 Pb1'
_symmetry_space_group_name_H-M 'P -1'
_symmetry_Int_Tables_number 2
_symmetry_space_group_name_Hall '-P 1'
_cell_length_a 5.989
_cell_length_b 6.211
_cell_length_c 10.114
_cell_angle_alpha 87.75
_cell_angle_beta 75.30
_cell_angle_gamma 76.24
loop_
_atom_site_label
_atom_site_fract_x
_atom_site_fract_y
_atom_site_fract_z
In1 0.024 0.249 0.069
In2 0.084 0.803 0.249
In3 0.187 0.318 0.384
In4 0.360 0.432 0.694
Hg1 0.284 0.872 0.537
Hg2 0.449 0.982 0.847
Pb1 0.500 0.500 0.000
```

---

[4]
The following is a computed X-ray diffraction stick pattern of TbCe6N8. It was derived from a DFT-relaxed cell (GGA-PBE, Alexandria), using Cu Kα.

Top 10 peaks for 2θ = 10–80°, sorted by position:
2θ/deg	d (Å)	intensity	index
15.33	5.779	19.2	1 1 1
17.72	5.005	5.6	2 0 0
25.16	3.539	4.8	2 2 0
29.60	3.018	10.4	3 1 1
30.95	2.890	100.0	2 2 2
35.89	2.502	78.6	4 0 0
51.66	1.769	53.6	4 4 0
61.44	1.509	45.5	6 2 2
64.50	1.445	17.9	4 4 4
76.07	1.251	8.2	8 0 0

Structural model:
```
data_TbCe6N8
_chemical_formula_sum 'Tb4 Ce24 N32'
_symmetry_space_group_name_H-M 'F m -3 m'
_symmetry_Int_Tables_number 225
_symmetry_space_group_name_Hall '-F 4 2 3'
_cell_length_a 10.010
_cell_length_b 10.010
_cell_length_c 10.010
_cell_angle_alpha 90.00
_cell_angle_beta 90.00
_cell_angle_gamma 90.00
loop_
_atom_site_label
_atom_site_fract_x
_atom_site_fract_y
_atom_site_fract_z
Tb1 0.000 0.000 0.000
Ce1 0.000 0.250 0.250
N1 0.000 0.000 0.236
N2 0.250 0.250 0.250
```

---

[5]
The following is a computed X-ray diffraction stick pattern of PuNpTcPd. It was derived from a DFT-relaxed cell (GGA-PBE, Alexandria), using Cu Kα.

Top 7 peaks for 2θ = 10–80°, sorted by position:
2θ/deg	d (Å)	intensity	index
26.04	3.422	17.3	2 0 0
37.15	2.420	100.0	2 2 0
45.93	1.976	5.5	2 2 2
53.56	1.711	17.7	4 0 0
60.49	1.530	7.7	4 2 0
66.98	1.397	36.3	4 2 2
79.16	1.210	11.4	4 4 0

Structural model:
```
data_PuNpTcPd
_chemical_formula_sum 'Pu4 Np4 Tc4 Pd4'
_symmetry_space_group_name_H-M 'F -4 3 m'
_symmetry_Int_Tables_number 216
_symmetry_space_group_name_Hall 'F -4 2 3'
_cell_length_a 6.844
_cell_length_b 6.844
_cell_length_c 6.844
_cell_angle_alpha 90.00
_cell_angle_beta 90.00
_cell_angle_gamma 90.00
loop_
_atom_site_label
_atom_site_fract_x
_atom_site_fract_y
_atom_site_fract_z
Pu1 0.000 0.000 0.000
Np1 0.000 0.000 0.500
Tc1 0.250 0.250 0.250
Pd1 0.250 0.250 0.750
```

---

[6]
The following is a computed X-ray diffraction stick pattern of In2Ga4Pb. It was derived from a DFT-relaxed cell (GGA-PBE, Alexandria), using Cu Kα.

Top 10 peaks for 2θ = 10–80°, sorted by position:
2θ/deg	d (Å)	intensity	index
21.17	4.196	37.0	1 1 1
28.97	3.082	38.8	0 0 2
30.57	2.924	91.4	2 2 0
31.53	2.838	62.0	6 0 0
32.57	2.749	70.3	5 1 -1
33.63	2.665	68.8	2 2 -1
34.09	2.630	100.0	5 1 1
34.82	2.576	57.4	4 0 -2
37.01	2.429	44.7	3 1 2
41.21	2.191	40.6	0 2 2

Structural model:
```
data_In2Ga4Pb
_chemical_formula_sum 'In8 Ga16 Pb4'
_symmetry_space_group_name_H-M 'C 1 2/c 1'
_symmetry_Int_Tables_number 15
_symmetry_space_group_name_Hall '-C 2yc'
_cell_length_a 17.052
_cell_length_b 6.227
_cell_length_c 6.178
_cell_angle_alpha 90.00
_cell_angle_beta 93.70
_cell_angle_gamma 90.00
loop_
_atom_site_label
_atom_site_fract_x
_atom_site_fract_y
_atom_site_fract_z
In1 0.191 0.096 0.178
Ga1 0.076 0.227 0.786
Ga2 0.161 0.449 0.507
Pb1 0.000 0.274 0.250
```

---

Which formula does entry 1 have? BeReNi2Pb